The following is a calculated XRD peak list of Cs2InSn2F7. It was derived from a crystal structure in Alexandria, relaxed with PBE, using CuKα.
Lines closer than 0.1° are merged.

a = 4.9175 Å, b = 4.9175 Å, c = 12.1379 Å
α = 97.27°, β = 97.27°, γ = 98.29°
Positions (direct):
Cs: 0.2039 0.2039 0.3707
Cs: 0.7961 0.7961 0.6293
In: 0.0000 0.0000 0.0000
Sn: 0.3474 0.3474 0.8090
Sn: 0.6526 0.6526 0.1910
F: 0.2236 0.6122 0.2014
F: 0.2965 0.2965 0.6190
F: 0.3878 0.7764 0.7986
F: 0.5000 0.5000 0.0000
F: 0.6122 0.2236 0.2014
F: 0.7035 0.7035 0.3810
F: 0.7764 0.3878 0.7986

Largest 12 diffraction maxima, in order of rising 2θ, 10 to 90 degrees two-theta:
- 23.92°, 3.719 Å, I 74
- 25.45°, 3.499 Å, I 100
- 26.92°, 3.311 Å, I 72
- 27.81°, 3.208 Å, I 42
- 32.98°, 2.716 Å, I 15
- 37.00°, 2.429 Å, I 53
- 37.78°, 2.381 Å, I 29
- 43.02°, 2.102 Å, I 22
- 43.96°, 2.060 Å, I 19
- 45.21°, 2.006 Å, I 18
- 45.75°, 1.983 Å, I 14
- 52.28°, 1.750 Å, I 22